1.
Pu2Si3Pd9: computed XRD peak list (copper Kα), based on a DFT-relaxed cell (PBE, Alexandria).
Peak positions follow from Bragg's law for the DFT cell and can differ from measured ones.

Largest 6 diffraction maxima, most intense first, 2θ = 15–90°:
37.7 deg, 2.388 Å, rel. 100, (3 1 2)
41.0 deg, 2.200 Å, rel. 61, (3 3 -1)
37.9 deg, 2.376 Å, rel. 54, (0 2 3)
40.5 deg, 2.229 Å, rel. 32, (6 0 -2)
39.5 deg, 2.284 Å, rel. 28, (0 0 4)
36.2 deg, 2.479 Å, rel. 19, (5 1 -1)

Crystal structure
```
data_Pu2Si3Pd9
_cell_length_a 13.3717
_cell_length_b 7.5896
_cell_length_c 10.1659
_cell_angle_alpha 90.00
_cell_angle_beta 115.96
_cell_angle_gamma 90.00
_space_group_name_H-M_alt 'C 1 2/c 1'
_space_group_IT_number 15
_space_group_name_Hall '-C 2yc'
loop_
_atom_site_label
_atom_site_type_symbol
_atom_site_fract_x
_atom_site_fract_y
_atom_site_fract_z
_atom_site_occupancy
Pu1 Pu 0.1729 0.0868 0.2472 1
Si1 Si 0.0855 0.2441 0.5017 1
Si2 Si 0.2500 0.2500 0.0000 1
Pd1 Pd 0.0000 0.3590 0.2500 1
Pd2 Pd 0.0571 0.0673 0.9203 1
Pd3 Pd 0.0985 0.4081 0.0387 1
Pd4 Pd 0.1072 0.3152 0.7471 1
Pd5 Pd 0.2299 0.4124 0.4316 1
```


2.
Y4Ho4Er: computed XRD peak list (copper Kα), based on a DFT-relaxed cell (PBE, Alexandria).
Peak positions follow from Bragg's law for the DFT cell and can differ from measured ones.

Largest 6 diffraction maxima, most intense first, 2θ = 15–90°:
30.9 deg, 2.893 Å, rel. 100, (3 0 1)
35.8 deg, 2.506 Å, rel. 50, (3 3 0)
51.6 deg, 1.772 Å, rel. 35, (6 0 0)
61.3 deg, 1.512 Å, rel. 28, (6 3 1)
61.4 deg, 1.509 Å, rel. 14, (3 0 3)
64.4 deg, 1.447 Å, rel. 12, (6 0 2)

Crystal structure
```
data_Y4Ho4Er
_cell_length_a 10.6395
_cell_length_b 10.6395
_cell_length_c 5.0022
_cell_angle_alpha 90.00
_cell_angle_beta 90.00
_cell_angle_gamma 90.00
_space_group_name_H-M_alt 'I 4/m m m'
_space_group_IT_number 139
_space_group_name_Hall '-I 4 2'
loop_
_atom_site_label
_atom_site_type_symbol
_atom_site_fract_x
_atom_site_fract_y
_atom_site_fract_z
_atom_site_occupancy
Y1 Y 0.1665 0.1665 0.0000 1
Ho1 Ho 0.0000 0.3346 0.5000 1
Er1 Er 0.0000 0.0000 0.5000 1
```


3.
Ac4PmY: computed XRD peak list (copper Kα), based on a DFT-relaxed cell (PBE, Alexandria).
Peak positions follow from Bragg's law for the DFT cell and can differ from measured ones.

Largest 6 diffraction maxima, most intense first, 2θ = 15–90°:
29.2 deg, 3.062 Å, rel. 100, (1 0 2)
28.9 deg, 3.085 Å, rel. 92, (0 1 3)
28.8 deg, 3.103 Å, rel. 47, (0 2 0)
57.7 deg, 1.598 Å, rel. 41, (2 2 0)
37.8 deg, 2.378 Å, rel. 30, (1 1 3)
41.5 deg, 2.178 Å, rel. 27, (1 2 2)

Crystal structure
```
data_Ac4PmY
_cell_length_a 3.7335
_cell_length_b 6.2058
_cell_length_c 10.6660
_cell_angle_alpha 90.00
_cell_angle_beta 90.00
_cell_angle_gamma 90.00
_space_group_name_H-M_alt 'P m m m'
_space_group_IT_number 47
_space_group_name_Hall '-P 2 2'
loop_
_atom_site_label
_atom_site_type_symbol
_atom_site_fract_x
_atom_site_fract_y
_atom_site_fract_z
_atom_site_occupancy
Ac1 Ac 0.0000 0.0000 0.1670 1
Ac2 Ac 0.0000 0.5000 0.3317 1
Pm1 Pm 0.5000 0.0000 0.5000 1
Y1 Y 0.5000 0.5000 0.0000 1
```


4.
NbHgTe2: computed XRD peak list (copper Kα), based on a DFT-relaxed cell (PBE, Alexandria).
Peak positions follow from Bragg's law for the DFT cell and can differ from measured ones.

Largest 6 diffraction maxima, most intense first, 2θ = 15–90°:
32.4 deg, 2.765 Å, rel. 100, (2 2 -1)
37.4 deg, 2.403 Å, rel. 50, (0 6 1)
35.1 deg, 2.560 Å, rel. 34, (1 3 -2)
30.6 deg, 2.921 Å, rel. 33, (1 1 1)
28.0 deg, 3.186 Å, rel. 32, (0 4 1)
31.3 deg, 2.855 Å, rel. 28, (1 1 -2)

Crystal structure
```
data_NbHgTe2
_cell_length_a 5.8822
_cell_length_b 16.3660
_cell_length_c 5.7987
_cell_angle_alpha 90.00
_cell_angle_beta 118.89
_cell_angle_gamma 90.00
_space_group_name_H-M_alt 'C 1 2/c 1'
_space_group_IT_number 15
_space_group_name_Hall '-C 2yc'
loop_
_atom_site_label
_atom_site_type_symbol
_atom_site_fract_x
_atom_site_fract_y
_atom_site_fract_z
_atom_site_occupancy
Nb1 Nb 0.0000 0.2501 0.2500 1
Hg1 Hg 0.0000 0.1956 0.7500 1
Te1 Te 0.1591 0.3835 0.5990 1
```